Structure and calculated X-ray diffraction stick pattern of Bi4W6O19 (DFT lattice parameters and positions (GGA+U); copper Kα).
No peak broadening, texture or thermal motion is included.

Most intense lines, 10° ≤ 2θ ≤ 80°, in order of rising 2θ:
19.1 deg, intensity 20; 23.5 deg, intensity 57; 30.4 deg, intensity 100; 33.4 deg, intensity 19; 36.2 deg, intensity 49; 48.0 deg, intensity 15; 50.1 deg, intensity 63; 54.1 deg, intensity 27; 59.8 deg, intensity 28; 68.6 deg, intensity 13

Crystal structure
a b c (Å): 8.040 8.040 8.040
angles (deg): 109.47 109.47 109.47
Fractional coordinates of all 29 atoms:
1 Bi 0.000 0.000 0.295
2 Bi 0.000 0.295 0.000
3 Bi 0.295 0.000 0.000
4 Bi 0.705 0.705 0.705
5 W 0.140 0.500 0.640
6 W 0.360 0.860 0.500
7 W 0.500 0.360 0.860
8 W 0.500 0.640 0.140
9 W 0.640 0.140 0.500
10 W 0.860 0.500 0.360
11 O 0.000 0.000 0.000
12 O 0.000 0.322 0.322
13 O 0.000 0.678 0.678
14 O 0.052 0.740 0.365
15 O 0.260 0.312 0.626
16 O 0.312 0.626 0.260
17 O 0.313 0.688 0.948
18 O 0.322 0.000 0.322
19 O 0.322 0.322 0.000
20 O 0.365 0.052 0.740
21 O 0.374 0.687 0.635
22 O 0.626 0.260 0.312
23 O 0.635 0.374 0.687
24 O 0.678 0.000 0.678
25 O 0.678 0.678 0.000
26 O 0.687 0.635 0.374
27 O 0.688 0.948 0.313
28 O 0.740 0.365 0.052
29 O 0.948 0.313 0.688